Structure and theoretical X-ray powder pattern of Sc4InPt5 (a crystal structure in Alexandria, relaxed with PBE; Cu Kα, 1.54184 Å).
Neutral-atom scattering factors, no anomalous dispersion.

Cell and atoms:
```
Sc4InPt5
1.0
3.281 0.000 0.000
0.000 3.281 0.000
0.000 0.000 16.773
Sc In Pt
4 1 5
direct
0.000 0.000 0.101 Sc
0.000 0.000 0.302 Sc
0.000 0.000 0.698 Sc
0.000 0.000 0.899 Sc
0.000 0.000 0.500 In
0.500 0.500 0.000 Pt
0.500 0.500 0.199 Pt
0.500 0.500 0.393 Pt
0.500 0.500 0.607 Pt
0.500 0.500 0.801 Pt
```

Top 10 peaks for 10 to 80 degrees two-theta, by intensity:
hkl, Position (°2θ), I_rel
1 0 5, 38.37, 100
1 1 0, 38.81, 49
1 0 0, 27.18, 34
2 1 5, 69.98, 34
0 0 5, 26.57, 18
2 0 0, 56.06, 17
1 1 10, 69.10, 17
1 1 5, 47.66, 16
0 0 10, 54.72, 8
2 1 0, 63.39, 7